Simulated X-ray powder pattern
Compound: CoIBr2
Radiation: Cu Kα (λ = 1.5418 Å)
Structure: a GGA-PBE-relaxed structure
Lines closer than 0.1° are merged.

The 12 most intense peaks (10° ≤ 2θ ≤ 90°), by intensity:
2θ/deg	d_spacing	I_rel	hkl
31.9	2.810	100	1 1 3
32.1	2.784	33	2 1 0
16.5	5.357	28	0 1 1
50.4	1.811	22	3 0 3
41.2	2.189	22	2 2 0
41.0	2.201	22	1 2 3
29.1	3.068	21	0 2 0
53.4	1.717	18	1 3 3
49.8	1.832	15	0 0 6
16.3	5.432	11	1 0 1
21.9	4.067	10	1 1 1
59.3	1.559	10	3 2 3

Structural model:
Cell lengths 6.249, 6.135, 10.990 Å; angles 90.00, 90.00, 90.00 degrees
Space group Pnna (No. 52)
Unique sites:
Co (0.250, 0.000, 0.085) x4
I (0.065, 0.250, 0.250) x4
Br (0.068, 0.216, 0.927) x8